Structure and simulated XRD peak list of KDySO (a crystal structure in OQMD, relaxed with PBE; Cu Ka).
Neutral-atom scattering factors, no anomalous dispersion.

Most intense lines, 5° ≤ 2θ ≤ 70°, low angle first:
2theta, I (rel.)
12.1, 100
24.4, 22
28.2, 38
29.3, 41
34.1, 26
35.1, 27

Structure:
```
data_KDySO
_cell_length_a 7.5394
_cell_length_b 7.3370
_cell_length_c 6.4273
_cell_angle_alpha 90.00
_cell_angle_beta 104.64
_cell_angle_gamma 90.00
_space_group_name_H-M_alt 'P 1 21/c 1'
_space_group_IT_number 14
loop_
_space_group_symop_operation_xyz
'x,y,z'
'-x,-y,-z'
'-x,y+1/2,-z+1/2'
'x,-y+1/2,z+1/2'
loop_
_atom_site_label
_atom_site_fract_x
_atom_site_fract_y
_atom_site_fract_z
K1 0.0839 0.2457 0.0113
Dy1 0.4727 0.6260 0.2704
S1 0.2497 0.5911 0.8427
O1 0.3922 0.1471 0.8771
```

***

Structure and simulated XRD peak list of KRbDy2P2 (a crystal structure in OQMD, relaxed with PBE; Cu Ka).
Neutral-atom scattering factors, no anomalous dispersion.

Most intense lines, 5° ≤ 2θ ≤ 70°, low angle first:
2theta, I (rel.)
11.3, 88
27.9, 100
34.4, 56
36.2, 43
43.2, 39
53.7, 31

Structure:
```
data_KRbDy2P2
_cell_length_a 4.9569
_cell_length_b 4.9569
_cell_length_c 7.8199
_cell_angle_alpha 90.00
_cell_angle_beta 90.00
_cell_angle_gamma 90.00
_space_group_name_H-M_alt 'P 4 m m'
_space_group_IT_number 99
loop_
_space_group_symop_operation_xyz
'x,y,z'
'-y,x,z'
'-x,-y,z'
'y,-x,z'
'-x,y,z'
'y,x,z'
'x,-y,z'
'-y,-x,z'
loop_
_atom_site_label
_atom_site_fract_x
_atom_site_fract_y
_atom_site_fract_z
K1 0.0000 0.0000 0.0000
Rb1 0.5000 0.5000 0.2351
Dy1 0.0000 0.5000 0.6224
P1 0.0000 0.0000 0.4492
P2 0.5000 0.5000 0.7876
```

***

Structure and simulated XRD peak list of KRbDy2Sb2 (a crystal structure in OQMD, relaxed with PBE; Cu Ka).
Neutral-atom scattering factors, no anomalous dispersion.

Most intense lines, 5° ≤ 2θ ≤ 70°, low angle first:
2theta, I (rel.)
10.3, 100
26.4, 51
26.9, 36
32.1, 79
34.6, 56
39.8, 29

Structure:
```
data_KRbDy2Sb2
_cell_length_a 5.1801
_cell_length_b 5.1801
_cell_length_c 8.6291
_cell_angle_alpha 90.00
_cell_angle_beta 90.00
_cell_angle_gamma 90.00
_space_group_name_H-M_alt 'P 4 m m'
_space_group_IT_number 99
loop_
_space_group_symop_operation_xyz
'x,y,z'
'-y,x,z'
'-x,-y,z'
'y,-x,z'
'-x,y,z'
'y,x,z'
'x,-y,z'
'-y,-x,z'
loop_
_atom_site_label
_atom_site_fract_x
_atom_site_fract_y
_atom_site_fract_z
K1 0.0000 0.0000 0.0000
Rb1 0.5000 0.5000 0.7316
Dy1 0.0000 0.5000 0.3624
Sb1 0.0000 0.0000 0.5607
Sb2 0.5000 0.5000 0.1677
```

***

Structure and simulated XRD peak list of K4TbDy (a crystal structure in OQMD, relaxed with PBE; Cu Ka).
Neutral-atom scattering factors, no anomalous dispersion.

Most intense lines, 5° ≤ 2θ ≤ 70°, low angle first:
2theta, I (rel.)
8.3, 61
12.1, 46
14.7, 33
24.3, 43
25.2, 27
28.9, 100

Structure:
```
data_K4TbDy
_cell_length_a 7.3310
_cell_length_b 3.8844
_cell_length_c 21.1884
_cell_angle_alpha 90.00
_cell_angle_beta 90.00
_cell_angle_gamma 90.00
_space_group_name_H-M_alt 'A m m 2'
_space_group_IT_number 38
loop_
_space_group_symop_operation_xyz
'x,y,z'
'-x,-y,z'
'-x,y,z'
'x,-y,z'
'x,y+1/2,z+1/2'
'-x,-y+1/2,z+1/2'
'-x,y+1/2,z+1/2'
'x,-y+1/2,z+1/2'
loop_
_atom_site_label
_atom_site_fract_x
_atom_site_fract_y
_atom_site_fract_z
K1 0.0000 0.0000 0.0000
K2 0.0000 0.0000 0.3283
K3 0.0000 0.0000 0.6568
K4 0.5000 0.0000 0.8281
Tb1 0.5000 0.0000 0.1412
Dy1 0.5000 0.0000 0.5121
```

***

Structure and simulated XRD peak list of KDyTe2 (a crystal structure in OQMD, relaxed with PBE; Cu Ka).
Neutral-atom scattering factors, no anomalous dispersion.

Most intense lines, 5° ≤ 2θ ≤ 70°, low angle first:
2theta, I (rel.)
14.3, 62
25.3, 76
28.7, 41
30.4, 100
39.6, 38
44.0, 27

Structure:
```
data_KDyTe2
_cell_length_a 8.7874
_cell_length_b 8.7874
_cell_length_c 7.9174
_cell_angle_alpha 90.00
_cell_angle_beta 90.00
_cell_angle_gamma 90.00
_space_group_name_H-M_alt 'I 4/m c m'
_space_group_IT_number 140
_space_group_name_Hall '-I 4 2c'
loop_
_atom_site_label
_atom_site_fract_x
_atom_site_fract_y
_atom_site_fract_z
K1 0.0000 0.0000 0.2500
Dy1 0.0000 0.5000 0.2500
Te1 0.1794 0.3206 0.0000
```